Structure and theoretical X-ray diffraction stick pattern of K3Pa3ZnSe8 (a structure optimized by DFT (PBE); copper Kα).

Cell and atoms:
```
15
Lattice="7.1576 -4.1359 0.0000 7.1576 4.1359 0.0000 -4.7683 0.0000 7.8857" Properties=species:S:1:pos:R:3 pbc="T T T"
K 0.0000 0.0000 0.0000
K 3.5788 2.0680 0.0000
K 3.5788 -2.0680 0.0000
Pa 1.1946 2.0680 3.9429
Pa 1.1946 -2.0680 3.9429
Pa 4.7734 0.0000 3.9429
Zn -2.3841 0.0000 3.9429
Se -0.0596 0.0000 5.4863
Se 3.6075 2.1136 5.4913
Se 5.9393 2.1136 2.3944
Se 2.3865 0.0000 2.2704
Se 7.1603 0.0000 5.6154
Se 3.6075 -2.1136 5.4913
Se 5.9393 -2.1136 2.3944
Se 9.6064 0.0000 2.3994
```

Main lines, in order of falling intensity (15° ≤ 2θ ≤ 90°):
d = 3.063 Å, I = 100
d = 2.067 Å, I = 35
d = 2.458 Å, I = 30
d = 2.281 Å, I = 24
d = 3.540 Å, I = 20
d = 1.999 Å, I = 20
d = 1.713 Å, I = 18
d = 1.844 Å, I = 16
d = 1.319 Å, I = 15
d = 2.279 Å, I = 12